Diffraction record for Ac2SmAlO6. The powder diffractogram is simulated, not measured: it uses DFT lattice parameters and positions (PBE) and Cu Kα X-rays.
Kinematic intensities with the Lorentz-polarization factor, no thermal factor.

Main lines, in order of falling intensity (10° ≤ 2θ ≤ 90°):
d = 2.949 Å, I 1000; d = 2.869 Å, I 271; d = 2.103 Å, I 228; d = 1.672 Å, I 228; d = 3.090 Å, I 226; d = 4.205 Å, I 180; d = 4.715 Å, I 171; d = 2.721 Å, I 135; d = 2.068 Å, I 129; d = 1.474 Å, I 115

Structural model:
Cell: 5.7387 8.2713 6.1801 Å, 90.00 90.00 90.00°
Space group Pmmn (No. 59, origin choice 2)
Unique sites:
1 Ac 0.2500 0.0229 0.1999 [4 per cell]
2 Sm 0.2500 0.2500 0.7058 [2 per cell]
3 Al 0.2500 0.7500 0.7752 [2 per cell]
4 O 0.0023 0.7500 0.5735 [4 per cell]
5 O 0.0135 0.7500 0.0079 [4 per cell]
6 O 0.2500 0.5169 0.7956 [4 per cell]